Record 1
# Cs2WO4
Theoretical PXRD pattern, CuKα. Input: the GGA+U geometry in the Materials Project.
No peak broadening, texture or thermal motion is included.

The 12 most intense peaks (2θ from 5° to 70°), low angle first:
d_spacing  intensity
3.792  59
3.500  100
3.351  49
3.249  72
2.511  46
2.194  29
2.013  15
1.962  18
1.914  16
1.879  12
1.610  12
1.533  16

Structural model:
```
Cs2WO4
1.0
6.853 -3.351 0.000
6.853 3.351 0.000
-3.710 0.000 7.583
Cs W O
4 2 8
Direct
0.013 0.013 0.240 Cs
0.344 0.344 0.258 Cs
0.656 0.656 0.742 Cs
0.987 0.987 0.760 Cs
0.325 0.325 0.778 W
0.675 0.675 0.222 W
0.133 0.579 0.915 O
0.180 0.180 0.633 O
0.405 0.405 0.653 O
0.421 0.867 0.085 O
0.579 0.133 0.915 O
0.595 0.595 0.347 O
0.820 0.820 0.367 O
0.867 0.421 0.085 O
```



Record 2
# FeClO
Theoretical PXRD pattern, CuKα. Input: the GGA+U geometry in the Materials Project.
No peak broadening, texture or thermal motion is included.

The 12 most intense peaks (2θ from 5° to 70°), low angle first:
d_spacing  intensity
8.365  100
3.506  48
2.606  42
2.424  8
2.406  7
2.138  16
1.930  11
1.875  8
1.866  8
1.666  7
1.556  7
1.546  7

Structural model:
```
FeClO
1.0
3.332 0.000 0.000
0.000 8.365 0.000
-3.300 0.000 3.861
Fe Cl O
2 2 2
Direct
0.000 0.108 0.250 Fe
0.000 0.892 0.750 Fe
0.500 0.314 0.250 Cl
0.500 0.686 0.750 Cl
0.500 0.046 0.750 O
0.500 0.954 0.250 O
```



Record 3
# FeBiO3
Theoretical PXRD pattern, CuKα. Input: the GGA+U geometry in the Materials Project.
No peak broadening, texture or thermal motion is included.

The 7 most intense peaks (2θ from 5° to 70°), low angle first:
d_spacing  intensity
3.945  31
2.790  100
2.278  24
1.972  29
1.764  16
1.611  40
1.395  18

Structural model:
```
FeBiO3
1.0
2.790 -2.788 0.000
2.790 2.788 0.000
0.000 0.000 7.892
Fe Bi O
2 2 6
Direct
0.003 0.997 0.750 Fe
0.997 0.003 0.250 Fe
0.500 0.500 0.000 Bi
0.500 0.500 0.500 Bi
0.000 0.000 0.000 O
0.000 0.000 0.500 O
0.008 0.496 0.750 O
0.496 0.008 0.250 O
0.504 0.992 0.750 O
0.992 0.504 0.250 O
```



Record 4
# Li3Mn2O5
Theoretical PXRD pattern, CuKα. Input: the GGA+U geometry in the Materials Project.
No peak broadening, texture or thermal motion is included.

The 12 most intense peaks (2θ from 5° to 70°), low angle first:
d_spacing  intensity
12.447  30
6.223  8
4.856  100
2.615  14
2.489  11
2.450  12
2.207  34
2.052  27
2.026  27
1.504  8
1.500  8
1.482  8

Structural model:
```
Li3Mn2O5
1.0
2.974 0.000 0.000
1.116 4.959 0.000
0.351 2.378 12.447
Li Mn O
6 4 10
Direct
0.000 0.000 0.000 Li
0.073 0.819 0.700 Li
0.249 0.415 0.086 Li
0.500 0.000 0.500 Li
0.751 0.585 0.914 Li
0.927 0.181 0.300 Li
0.185 0.605 0.399 Mn
0.412 0.200 0.808 Mn
0.588 0.800 0.192 Mn
0.815 0.395 0.601 Mn
0.004 0.948 0.844 O
0.133 0.688 0.546 O
0.189 0.537 0.250 O
0.354 0.308 0.937 O
0.480 0.113 0.656 O
0.520 0.887 0.344 O
0.646 0.692 0.063 O
0.811 0.463 0.750 O
0.867 0.312 0.454 O
0.996 0.052 0.156 O
```



Record 5
# FeOF
Theoretical PXRD pattern, CuKα. Input: the GGA+U geometry in the Materials Project.
No peak broadening, texture or thermal motion is included.

The 12 most intense peaks (2θ from 5° to 70°), low angle first:
d_spacing  intensity
3.374  100
2.581  49
2.385  8
2.271  13
1.753  29
1.750  26
1.687  15
1.534  9
1.508  5
1.411  14
1.398  6
1.396  5

Structural model:
```
FeOF
1.0
6.138 0.000 0.000
0.001 9.539 0.000
0.025 0.016 9.545
Fe O F
16 16 16
Direct
0.001 0.239 0.236 Fe
0.016 0.739 0.237 Fe
0.234 0.520 0.983 Fe
0.235 0.988 0.012 Fe
0.265 0.511 0.489 Fe
0.266 0.017 0.480 Fe
0.485 0.760 0.264 Fe
0.499 0.739 0.736 Fe
0.501 0.261 0.264 Fe
0.515 0.240 0.736 Fe
0.734 0.983 0.520 Fe
0.735 0.489 0.511 Fe
0.765 0.012 0.988 Fe
0.766 0.480 0.017 Fe
0.984 0.261 0.763 Fe
0.999 0.761 0.764 Fe
0.000 0.096 0.095 O
0.000 0.904 0.905 O
0.004 0.403 0.905 O
0.246 0.654 0.347 O
0.248 0.160 0.338 O
0.252 0.661 0.840 O
0.254 0.846 0.154 O
0.496 0.096 0.595 O
0.500 0.403 0.405 O
0.500 0.597 0.595 O
0.504 0.904 0.405 O
0.746 0.154 0.846 O
0.748 0.339 0.160 O
0.752 0.840 0.662 O
0.754 0.346 0.653 O
0.996 0.597 0.095 O
0.001 0.405 0.404 F
0.004 0.095 0.596 F
0.244 0.852 0.646 F
0.246 0.346 0.654 F
0.254 0.154 0.847 F
0.257 0.353 0.147 F
0.496 0.405 0.904 F
0.500 0.095 0.096 F
0.500 0.905 0.904 F
0.504 0.595 0.096 F
0.743 0.647 0.853 F
0.746 0.846 0.153 F
0.754 0.654 0.346 F
0.756 0.148 0.354 F
0.996 0.905 0.404 F
0.999 0.595 0.596 F
```



Record 6
# LiMnVP3O12
Theoretical PXRD pattern, CuKα. Input: the GGA+U geometry in the Materials Project.
No peak broadening, texture or thermal motion is included.

The 12 most intense peaks (2θ from 5° to 70°), low angle first:
d_spacing  intensity
6.218  47
6.029  100
4.563  41
4.467  49
4.396  42
3.744  46
3.670  73
3.610  69
3.595  37
3.020  35
3.010  38
2.832  39

Structural model:
```
LiMnVP3O12
1.0
8.272 0.000 0.000
4.024 7.245 0.000
3.978 -2.144 7.613
Li Mn V P O
2 2 2 6 24
Direct
0.053 0.260 0.376 Li
0.947 0.740 0.624 Li
0.289 0.847 0.066 Mn
0.711 0.153 0.934 Mn
0.309 0.343 0.552 V
0.691 0.657 0.448 V
0.206 0.545 0.253 P
0.220 0.740 0.748 P
0.498 0.971 0.246 P
0.502 0.029 0.754 P
0.780 0.260 0.252 P
0.794 0.455 0.747 P
0.003 0.464 0.682 O
0.012 0.863 0.751 O
0.143 0.748 0.238 O
0.201 0.773 0.925 O
0.245 0.528 0.413 O
0.299 0.521 0.687 O
0.318 0.170 0.390 O
0.352 0.012 0.924 O
0.361 0.165 0.678 O
0.378 0.889 0.225 O
0.387 0.385 0.089 O
0.397 0.768 0.605 O
0.603 0.232 0.395 O
0.613 0.615 0.911 O
0.622 0.111 0.775 O
0.639 0.835 0.322 O
0.648 0.988 0.076 O
0.682 0.830 0.610 O
0.701 0.479 0.313 O
0.755 0.472 0.587 O
0.799 0.227 0.075 O
0.857 0.252 0.762 O
0.988 0.137 0.249 O
0.997 0.536 0.318 O
```



Record 7
# MgMn2Zn2O6
Theoretical PXRD pattern, CuKα. Input: the GGA+U geometry in the Materials Project.
No peak broadening, texture or thermal motion is included.

The 12 most intense peaks (2θ from 5° to 70°), low angle first:
d_spacing  intensity
5.085  7
2.927  32
2.637  96
2.537  100
2.341  19
1.959  10
1.828  48
1.573  9
1.523  37
1.502  39
1.447  10
1.426  19

Structural model:
```
MgMn2Zn2O6
1.0
2.637 1.523 5.085
-2.637 1.523 5.085
0.000 -3.045 5.085
Mg Mn Zn O
1 2 2 6
Direct
0.000 0.000 0.000 Mg
0.179 0.179 0.179 Mn
0.821 0.821 0.821 Mn
0.399 0.399 0.399 Zn
0.601 0.601 0.601 Zn
0.068 0.793 0.403 O
0.207 0.597 0.932 O
0.403 0.068 0.793 O
0.597 0.932 0.207 O
0.793 0.403 0.068 O
0.932 0.207 0.597 O
```